1.
For Ta4CoTe4, the PBE geometry in Alexandria gives the calculated powder X-ray diffraction pattern in this record (a wavelength of 1.5418 Å).
Neutral-atom scattering factors, no anomalous dispersion.

Cell and atoms:
```
36
Lattice="11.013 0.000 0.000 0.000 19.151 0.000 0.000 0.000 4.806" Properties=species:S:1:pos:R:3 pbc="T T T"
Ta 0.691 2.199 0.000
Ta 1.069 17.109 2.403
Ta 2.049 1.071 2.403
Ta 2.206 18.461 0.000
Ta 3.300 8.885 0.000
Ta 3.457 10.646 2.403
Ta 4.438 7.534 2.403
Ta 4.815 11.774 0.000
Ta 6.197 7.377 0.000
Ta 6.575 11.617 2.403
Ta 7.556 8.505 2.403
Ta 7.713 10.265 0.000
Ta 8.806 0.690 0.000
Ta 8.963 18.080 2.403
Ta 9.944 2.042 2.403
Ta 10.321 16.952 0.000
Co 0.000 0.000 1.201
Co 0.000 0.000 3.604
Co 5.506 9.575 1.201
Co 5.506 9.575 3.604
Te 1.192 3.803 2.403
Te 1.697 8.379 2.403
Te 1.844 15.621 0.000
Te 1.966 11.426 0.000
Te 3.540 1.851 0.000
Te 3.662 6.045 0.000
Te 3.810 17.955 2.403
Te 4.314 13.378 2.403
Te 6.698 5.772 2.403
Te 7.203 1.196 2.403
Te 7.350 13.105 0.000
Te 7.472 17.300 0.000
Te 9.046 7.725 0.000
Te 9.169 3.530 0.000
Te 9.316 10.771 2.403
Te 9.820 15.348 2.403
```

Principal peaks in the range 5 to 70 degrees two-theta, by angle:
2θ (°)	I/Imax
9.25	100
32.07	7
34.08	7
34.71	15
37.43	13
37.96	7
40.31	16
41.36	11



2.
For Ta2CoTe, the PBE geometry in Alexandria gives the calculated powder X-ray diffraction pattern in this record (a wavelength of 1.5418 Å).
Neutral-atom scattering factors, no anomalous dispersion.

Cell and atoms:
```
4
Lattice="3.418 0.000 0.000 0.000 3.636 0.000 -1.703 0.000 5.663" Properties=species:S:1:pos:R:3 pbc="T T T"
Ta 0.000 0.000 0.000
Ta 0.007 1.818 4.061
Co 1.725 0.000 3.082
Te 1.710 1.818 1.392
```

Principal peaks in the range 5 to 70 degrees two-theta, by angle:
2θ (°)	I/Imax
35.42	54
36.96	100
40.37	65
48.19	25
50.18	19
53.62	15
62.92	21
69.22	41



3.
For ThTaCo, the PBE geometry in Alexandria gives the calculated powder X-ray diffraction pattern in this record (a wavelength of 1.5418 Å).
Neutral-atom scattering factors, no anomalous dispersion.

Cell and atoms:
```
6
Lattice="0.000 4.480 4.747 2.696 0.000 4.747 2.696 4.480 0.000" Properties=species:S:1:pos:R:3 pbc="T T T"
Th 2.696 4.480 1.553
Th 2.696 4.480 7.940
Ta 2.696 3.010 4.747
Ta 2.696 5.949 4.747
Co 1.348 2.240 2.373
Co 4.044 6.719 7.120
```

Principal peaks in the range 5 to 70 degrees two-theta, by angle:
2θ (°)	I/Imax
33.23	32
34.35	100
35.64	79
43.13	20
43.57	33
44.74	17
60.10	21
60.95	17



4.
For TaTi6Co, the PBE geometry in Alexandria gives the calculated powder X-ray diffraction pattern in this record (a wavelength of 1.5418 Å).
Neutral-atom scattering factors, no anomalous dispersion.

Cell and atoms:
```
16
Lattice="7.577 0.000 0.000 0.000 9.158 0.000 -3.634 0.000 3.792" Properties=species:S:1:pos:R:3 pbc="T T T"
Ta 0.000 0.000 0.000
Ta 3.788 4.579 0.000
Ti 6.632 4.579 0.984
Ti -2.689 4.579 2.807
Ti -0.835 2.017 2.841
Ti -0.835 7.141 2.841
Ti 0.989 2.562 0.951
Ti 0.989 6.596 0.951
Ti 2.844 0.000 0.984
Ti 1.099 0.000 2.807
Ti 2.954 2.562 2.841
Ti 2.954 6.596 2.841
Ti 4.777 2.017 0.951
Ti 4.777 7.141 0.951
Co -1.817 0.000 1.896
Co 1.971 4.579 1.896
```

Principal peaks in the range 5 to 70 degrees two-theta, by angle:
2θ (°)	I/Imax
18.90	38
19.42	34
33.97	22
34.14	25
38.34	99
39.33	100
48.67	35
52.26	27



5.
For TaV3Co6, the PBE geometry in Alexandria gives the calculated powder X-ray diffraction pattern in this record (a wavelength of 1.5418 Å).
Neutral-atom scattering factors, no anomalous dispersion.

Cell and atoms:
```
20
Lattice="7.942 0.000 0.000 0.000 3.640 0.000 -0.254 0.000 8.236" Properties=species:S:1:pos:R:3 pbc="T T T"
Ta 0.371 0.910 3.102
Ta 7.317 2.730 5.134
V 1.974 0.910 0.131
V 2.565 2.730 6.574
V 3.371 0.910 4.906
V 4.317 2.730 3.331
V 5.123 0.910 1.662
V 5.714 2.730 8.105
Co 0.220 2.730 7.497
Co 1.032 0.910 5.840
Co 1.217 2.730 1.577
Co 1.866 2.730 4.081
Co 2.799 0.910 2.436
Co 3.575 2.730 0.823
Co 4.113 0.910 7.413
Co 4.889 2.730 5.801
Co 5.822 0.910 4.155
Co 6.471 0.910 6.660
Co 6.656 2.730 2.396
Co 7.468 0.910 0.739
```

Principal peaks in the range 5 to 70 degrees two-theta, by angle:
2θ (°)	I/Imax
11.15	36
15.74	18
34.98	16
43.08	100
43.42	99
49.22	30
50.12	33
51.75	29



6.
For TaCoW2, the PBE geometry in Alexandria gives the calculated powder X-ray diffraction pattern in this record (a wavelength of 1.5418 Å).
Neutral-atom scattering factors, no anomalous dispersion.

Cell and atoms:
```
4
Lattice="3.181 0.000 0.000 0.000 3.181 0.000 0.000 0.000 6.104" Properties=species:S:1:pos:R:3 pbc="T T T"
Ta 0.000 0.000 0.000
Co 1.590 1.590 4.649
W 0.000 0.000 3.156
W 1.590 1.590 1.651
```

Principal peaks in the range 5 to 70 degrees two-theta, by angle:
2θ (°)	I/Imax
14.51	9
28.05	5
31.72	10
40.09	54
40.98	100
57.99	18
60.68	8
61.45	3



7.
For Y2TaCo2, the PBE geometry in Alexandria gives the calculated powder X-ray diffraction pattern in this record (a wavelength of 1.5418 Å).
Neutral-atom scattering factors, no anomalous dispersion.

Cell and atoms:
```
10
Lattice="6.487 0.000 0.000 0.000 6.487 0.000 0.000 0.000 4.590" Properties=species:S:1:pos:R:3 pbc="T T T"
Y 1.174 2.070 0.000
Y 2.070 5.314 0.000
Y 4.418 1.174 0.000
Y 5.314 4.418 0.000
Ta 0.000 0.000 2.295
Ta 3.244 3.244 2.295
Co 0.820 4.063 2.295
Co 2.424 0.820 2.295
Co 4.063 5.668 2.295
Co 5.668 2.424 2.295
```

Principal peaks in the range 5 to 70 degrees two-theta, by angle:
2θ (°)	I/Imax
19.34	32
27.49	47
33.84	100
36.64	86
39.26	70
44.14	65
60.53	45
64.20	26



8.
For YTaCo4, the PBE geometry in Alexandria gives the calculated powder X-ray diffraction pattern in this record (a wavelength of 1.5418 Å).
Neutral-atom scattering factors, no anomalous dispersion.

Cell and atoms:
```
6
Lattice="0.000 3.467 3.467 3.467 0.000 3.467 3.467 3.467 0.000" Properties=species:S:1:pos:R:3 pbc="T T T"
Y 0.000 0.000 0.000
Ta 1.734 1.734 1.734
Co 4.332 2.603 2.603
Co 2.603 4.332 2.603
Co 2.603 2.603 4.332
Co 4.332 4.332 4.332
```

Principal peaks in the range 5 to 70 degrees two-theta, by angle:
2θ (°)	I/Imax
22.20	15
25.69	7
36.65	56
43.27	100
45.30	19
57.97	4
59.63	3
66.00	20